Diffraction record for Sc2US5. The powder XRD pattern is calculated, not measured: it uses a GGA-PBE-relaxed structure and a wavelength of 1.5418 Å.

Main lines, low angle first (2θ from 10° to 80°):
hkl	Position (°2θ)	d (Å)	I_rel
0 2 0	14.03	6.311	100
0 2 2	19.51	4.551	27
1 1 1	19.70	4.506	62
1 1 3	27.58	3.234	20
0 2 4	30.69	2.913	17
0 4 2	31.45	2.844	15
1 3 3	34.24	2.619	49
2 0 0	34.59	2.593	21
2 2 0	37.50	2.399	17
1 5 3	44.98	2.015	23

Structural model:
a = 5.186 Å, b = 12.623 Å, c = 13.134 Å
α = 90.00°, β = 90.00°, γ = 90.00°
Space group Fmmm (No. 69)
One atom of each set of equivalent atoms:
Sc 0.000 0.000 0.189 x8
U 0.000 0.000 0.500 x4
S 0.000 0.000 0.000 x4
S 0.000 0.124 0.339 x16